For Ca2FeP2H8O12, a DFT-relaxed cell (PBE+U, Alexandria) gives the theoretical X-ray diffraction stick pattern in this record (Cu Kα (λ = 1.5418 Å)).

Top 12 peaks for 2θ from 10° to 90°, sorted by position:
| index | d_spacing | Rel. int. |
| --- | --- | --- |
| 0 0 1 | 6.447 | 44 |
| 1 0 1 | 4.585 | 33 |
| 1 -1 0 | 3.772 | 65 |
| -1 1 1 | 3.419 | 46 |
| 0 1 2 | 3.278 | 45 |
| 0 0 2 | 3.223 | 42 |
| 1 1 2 | 3.200 | 86 |
| 1 2 1 | 3.090 | 37 |
| 1 2 0 | 2.899 | 100 |
| 2 1 0 | 2.817 | 38 |
| 1 0 -2 | 2.668 | 38 |
| 2 0 -2 | 2.018 | 31 |

Crystal structure
a b c (Å): 5.9801 6.4774 6.9063
angles (deg): 70.24 78.32 75.23
Positions (direct):
Ca 0.2046 0.1628 0.2893
Ca 0.7954 0.8372 0.7107
Fe 0.5000 0.5000 0.5000
P 0.2750 0.0636 0.7826
P 0.7250 0.9364 0.2174
H 0.1251 0.6695 0.3061
H 0.1815 0.4408 0.8239
H 0.2683 0.6732 0.7909
H 0.3195 0.6464 0.1231
H 0.6805 0.3536 0.8769
H 0.7317 0.3268 0.2091
H 0.8185 0.5592 0.1761
H 0.8749 0.3305 0.6939
O 0.0757 0.0952 0.6528
O 0.1844 0.1843 0.9493
O 0.1922 0.5955 0.7232
O 0.2606 0.5567 0.2666
O 0.3837 0.8110 0.8757
O 0.4793 0.1661 0.6280
O 0.5207 0.8339 0.3720
O 0.6163 0.1890 0.1243
O 0.7394 0.4433 0.7334
O 0.8078 0.4045 0.2768
O 0.8156 0.8157 0.0507
O 0.9243 0.9048 0.3472